# KNa7V8O24
Calculated X-ray powder pattern, Cu Kα, 1.54184 Å. Input: a GGA+U-relaxed structure.
Peak positions follow from Bragg's law for the DFT cell and can differ from measured ones.

Structure:
a = 5.991 Å, b = 9.913 Å, c = 10.561 Å
α = 90.00°, β = 103.90°, γ = 90.00°
Space group P2 (No. 3)
Inequivalent atoms, fractional coordinates:
K 0.000 0.000 0.000 x1
Na 0.000 0.296 0.500 x1
Na 0.000 0.611 0.000 x1
Na 0.000 0.930 0.500 x1
Na 0.500 0.112 0.500 x1
Na 0.500 0.430 0.000 x1
Na 0.500 0.482 0.500 x1
Na 0.500 0.795 0.000 x1
V 0.210 0.295 0.210 x2
V 0.226 0.613 0.705 x2
V 0.277 0.785 0.297 x2
V 0.292 0.119 0.786 x2
O 0.052 0.697 0.354 x2
O 0.073 0.214 0.843 x2
O 0.210 0.446 0.141 x2
O 0.216 0.789 0.133 x2
O 0.217 0.458 0.642 x2
O 0.219 0.109 0.622 x2
O 0.282 0.941 0.359 x2
O 0.285 0.307 0.374 x2
O 0.293 0.607 0.870 x2
O 0.302 0.965 0.850 x2
O 0.425 0.198 0.154 x2
O 0.446 0.701 0.643 x2

Top 10 peaks for 2θ from 15° to 90°, by intensity:
| two_theta | I/Imax | index |
| --- | --- | --- |
| 26.42 | 100.0 | 1 2 1 |
| 23.83 | 57.9 | 1 2 -1 |
| 31.52 | 46.2 | 2 0 -2 |
| 27.61 | 40.7 | 0 1 3 |
| 32.50 | 29.2 | 1 2 -3 |
| 17.30 | 25.5 | 0 0 2 |
| 24.99 | 23.6 | 0 2 2 |
| 27.33 | 22.5 | 1 1 2 |
| 49.25 | 20.7 | 3 2 -1 |
| 59.58 | 17.4 | 1 3 -6 |